This entry pairs a crystal structure of Ba2YFe3O8 with its simulated PXRD pattern. Radiation: Cu Kα (λ = 1.5418 Å). Structure: a GGA+U-relaxed structure.
Intensities are scaled so that the largest is 100.

Principal peaks in the range 10° ≤ 2θ ≤ 90°, in order of falling intensity:
| 2θ (°) | I/Imax |
| --- | --- |
| 31.64 | 100 |
| 31.89 | 42 |
| 56.67 | 37 |
| 45.72 | 30 |
| 56.19 | 22 |
| 39.11 | 17 |
| 66.08 | 14 |
| 44.98 | 12 |
| 22.40 | 9 |
| 66.66 | 9 |

Structural model:
a = 3.9685 Å, b = 3.9685 Å, c = 12.0930 Å
α = 90.00°, β = 90.00°, γ = 90.00°
Element x y z (fractional)
1 Ba 0.0000 0.0000 0.1624
2 Ba 0.0000 0.0000 0.8376
3 Y 0.0000 0.0000 0.5000
4 Fe 0.5000 0.5000 0.0000
5 Fe 0.5000 0.5000 0.3395
6 Fe 0.5000 0.5000 0.6605
7 O 0.0000 0.5000 0.0000
8 O 0.0000 0.5000 0.3837
9 O 0.0000 0.5000 0.6163
10 O 0.5000 0.0000 0.0000
11 O 0.5000 0.0000 0.3837
12 O 0.5000 0.0000 0.6163
13 O 0.5000 0.5000 0.1846
14 O 0.5000 0.5000 0.8154

This entry pairs a crystal structure of VCuO4 with its simulated PXRD pattern. Radiation: Cu Kα (λ = 1.5418 Å). Structure: a GGA+U-relaxed structure.
Intensities are scaled so that the largest is 100.

Principal peaks in the range 10° ≤ 2θ ≤ 90°, in order of falling intensity:
| 2θ (°) | I/Imax |
| --- | --- |
| 30.46 | 100 |
| 26.33 | 85 |
| 30.90 | 55 |
| 17.36 | 32 |
| 20.95 | 31 |
| 30.75 | 30 |
| 22.99 | 29 |
| 32.58 | 29 |
| 23.18 | 22 |
| 20.64 | 20 |

Structural model:
a = 6.3987 Å, b = 8.4806 Å, c = 11.7401 Å
α = 90.00°, β = 90.59°, γ = 90.00°
Element x y z (fractional)
1 V 0.1006 0.0929 0.1359
2 V 0.1006 0.4071 0.6359
3 V 0.3962 0.5447 0.1539
4 V 0.3962 0.9553 0.6539
5 V 0.6038 0.0447 0.3461
6 V 0.6038 0.4553 0.8461
7 V 0.8994 0.5929 0.3641
8 V 0.8994 0.9071 0.8641
9 Cu 0.1274 0.5555 0.8726
10 Cu 0.1274 0.9445 0.3726
11 Cu 0.2761 0.1727 0.8729
12 Cu 0.2761 0.3273 0.3729
13 Cu 0.7239 0.6727 0.6271
14 Cu 0.7239 0.8273 0.1271
15 Cu 0.8726 0.0555 0.6274
16 Cu 0.8726 0.4445 0.1274
17 O 0.0038 0.1007 0.8652
18 O 0.0038 0.3993 0.3652
19 O 0.0808 0.7320 0.4007
20 O 0.0808 0.7680 0.9007
21 O 0.1512 0.0080 0.5940
22 O 0.1512 0.4920 0.0940
23 O 0.1874 0.1285 0.2876
24 O 0.1874 0.3715 0.7876
25 O 0.2933 0.1027 0.0377
26 O 0.2933 0.3973 0.5377
27 O 0.3721 0.5238 0.2987
28 O 0.3721 0.9762 0.7987
29 O 0.4112 0.5904 0.8920
30 O 0.4112 0.9096 0.3920
31 O 0.4614 0.7408 0.1173
32 O 0.4614 0.7592 0.6173
33 O 0.5386 0.2408 0.3827
34 O 0.5386 0.2592 0.8827
35 O 0.5888 0.0904 0.6080
36 O 0.5888 0.4096 0.1080
37 O 0.6279 0.0238 0.2013
38 O 0.6279 0.4762 0.7013
39 O 0.7067 0.6027 0.4623
40 O 0.7067 0.8973 0.9623
41 O 0.8126 0.6285 0.2124
42 O 0.8126 0.8715 0.7124
43 O 0.8488 0.5080 0.9060
44 O 0.8488 0.9920 0.4060
45 O 0.9192 0.2320 0.0993
46 O 0.9192 0.2680 0.5993
47 O 0.9962 0.6007 0.6348
48 O 0.9962 0.8993 0.1348

This entry pairs a crystal structure of SrSmFe4O12 with its simulated PXRD pattern. Radiation: Cu Kα (λ = 1.5418 Å). Structure: a GGA+U-relaxed structure.
Intensities are scaled so that the largest is 100.

Principal peaks in the range 10° ≤ 2θ ≤ 90°, in order of falling intensity:
| 2θ (°) | I/Imax |
| --- | --- |
| 33.05 | 100 |
| 20.06 | 79 |
| 47.44 | 45 |
| 38.97 | 43 |
| 59.04 | 38 |
| 69.35 | 25 |
| 52.00 | 19 |
| 79.00 | 16 |
| 63.01 | 14 |
| 73.02 | 14 |

Structural model:
a = 5.4194 Å, b = 5.4194 Å, c = 7.6675 Å
α = 90.00°, β = 90.00°, γ = 90.00°
Element x y z (fractional)
1 Sr 0.0000 0.0000 0.0000
2 Sm 0.5000 0.5000 0.5000
3 Fe 0.0000 0.5000 0.2492
4 Fe 0.0000 0.5000 0.7508
5 Fe 0.5000 0.0000 0.2492
6 Fe 0.5000 0.0000 0.7508
7 O 0.0000 0.5000 0.0000
8 O 0.0000 0.5000 0.5000
9 O 0.2569 0.2569 0.2599
10 O 0.2569 0.2569 0.7401
11 O 0.2569 0.7431 0.2599
12 O 0.2569 0.7431 0.7401
13 O 0.5000 0.0000 0.0000
14 O 0.5000 0.0000 0.5000
15 O 0.7431 0.2569 0.2599
16 O 0.7431 0.2569 0.7401
17 O 0.7431 0.7431 0.2599
18 O 0.7431 0.7431 0.7401

This entry pairs a crystal structure of Li2V3CrO8 with its simulated PXRD pattern. Radiation: Cu Kα (λ = 1.5418 Å). Structure: a GGA+U-relaxed structure.
Intensities are scaled so that the largest is 100.

Principal peaks in the range 10° ≤ 2θ ≤ 90°, in order of falling intensity:
| 2θ (°) | I/Imax |
| --- | --- |
| 17.72 | 100 |
| 43.06 | 19 |
| 43.21 | 19 |
| 43.49 | 19 |
| 61.63 | 15 |
| 36.11 | 10 |
| 35.98 | 10 |
| 36.38 | 10 |
| 47.04 | 5 |
| 79.94 | 5 |

Structural model:
a = 5.7907 Å, b = 5.8109 Å, c = 6.0238 Å
α = 61.23°, β = 61.33°, γ = 60.57°
Element x y z (fractional)
1 Li 0.0000 0.0000 0.0000
2 Li 0.5000 0.5000 0.0000
3 V 0.0000 0.0000 0.5000
4 V 0.0000 0.5000 0.5000
5 V 0.5000 0.5000 0.5000
6 Cr 0.5000 0.0000 0.5000
7 O 0.2349 0.2401 0.2949
8 O 0.2364 0.7367 0.2834
9 O 0.2626 0.2643 0.7036
10 O 0.2632 0.7638 0.7146
11 O 0.7368 0.2362 0.2854
12 O 0.7374 0.7357 0.2964
13 O 0.7636 0.2633 0.7166
14 O 0.7651 0.7599 0.7051

This entry pairs a crystal structure of Pr3Mn4PbO12 with its simulated PXRD pattern. Radiation: Cu Kα (λ = 1.5418 Å). Structure: a GGA+U-relaxed structure.
Intensities are scaled so that the largest is 100.

Principal peaks in the range 10° ≤ 2θ ≤ 90°, in order of falling intensity:
| 2θ (°) | I/Imax |
| --- | --- |
| 32.19 | 100 |
| 31.94 | 99 |
| 57.07 | 29 |
| 57.23 | 25 |
| 45.98 | 20 |
| 39.64 | 19 |
| 45.61 | 18 |
| 46.34 | 17 |
| 39.44 | 17 |
| 22.52 | 16 |

Structural model:
a = 5.5630 Å, b = 7.8961 Å, c = 5.6044 Å
α = 90.00°, β = 90.86°, γ = 90.00°
Element x y z (fractional)
1 Pr 0.0000 0.0000 0.0000
2 Pr 0.0145 0.5000 0.0768
3 Pr 0.4989 0.5000 0.5842
4 Mn 0.0094 0.2505 0.5383
5 Mn 0.0094 0.7495 0.5383
6 Mn 0.5103 0.2494 0.0449
7 Mn 0.5103 0.7506 0.0449
8 Pb 0.5153 0.0000 0.5287
9 O 0.0678 0.0000 0.5647
10 O 0.2302 0.2953 0.8228
11 O 0.2302 0.7047 0.8228
12 O 0.2854 0.2991 0.3235
13 O 0.2854 0.7009 0.3235
14 O 0.4342 0.0000 0.0351
15 O 0.5812 0.5000 0.0294
16 O 0.7384 0.2222 0.7617
17 O 0.7384 0.7778 0.7617
18 O 0.8079 0.2181 0.2424
19 O 0.8079 0.7819 0.2424
20 O 0.9296 0.5000 0.5231